No. 1
Diffraction record for Tm3Hg2Au4. The X-ray powder pattern is simulated, not measured: it uses a GGA-PBE-relaxed structure and λ = 1.5418 Å (Cu Kα).

Most intense lines, 2θ = 15–90°, by intensity:
(hkl)  2θ (°)  Rel. int.
4 2 1  37.91  100
0 4 0  32.28  75
5 1 -1  35.00  62
1 1 -2  35.30  61
5 3 -1  42.11  37
1 3 -2  42.37  36

Cell and atoms:
Unit cell a=13.9590 b=11.0931 c=5.2239 alpha=90.00 beta=101.01 gamma=90.00
Space group C2/c (No. 15)
One atom of each set of equivalent atoms:
Tm 0.0000 0.1396 0.2500
Tm 0.1631 0.3801 0.0846
Hg 0.1136 0.1179 0.8055
Au 0.0553 0.3762 0.5281
Au 0.2259 0.1311 0.3546

No. 2
Diffraction record for Ca5SmIn6. The X-ray powder pattern is simulated, not measured: it uses a GGA-PBE-relaxed structure and λ = 1.5418 Å (Cu Kα).

Most intense lines, 2θ = 15–90°, by intensity:
(hkl)  2θ (°)  Rel. int.
2 2 1  32.83  100
6 0 0  33.06  49
6 4 0  58.46  18
0 2 3  58.83  18
6 2 -3  58.98  17
0 4 0  46.76  9

Cell and atoms:
Unit cell a=17.1134 b=7.7709 c=5.4174 alpha=90.00 beta=108.18 gamma=90.00
Space group C2/m (No. 12)
One atom of each set of equivalent atoms:
Ca 0.0000 0.0000 0.0000
Ca 0.1671 0.0000 0.6670
Ca 0.1692 0.5000 0.6692
Sm 0.0000 0.5000 0.0000
In 0.0000 0.2500 0.5000
In 0.1653 0.2498 0.1652

No. 3
Diffraction record for HgH2Rh. The X-ray powder pattern is simulated, not measured: it uses a GGA-PBE-relaxed structure and λ = 1.5418 Å (Cu Kα).

Most intense lines, 2θ = 15–90°, by intensity:
(hkl)  2θ (°)  Rel. int.
0 1 2  35.82  100
1 0 4  40.89  71
0 0 6  33.35  41
1 1 6  71.17  28
0 1 8  57.56  26
1 1 0  60.83  22

Cell and atoms:
Unit cell a=3.0456 b=3.0456 c=16.1214 alpha=90.00 beta=90.00 gamma=120.00
Space group R-3m (No. 166, hexagonal axes)
One atom of each set of equivalent atoms:
Hg 0.0000 0.0000 0.0000
H 0.0000 0.0000 0.1992
Rh 0.0000 0.0000 0.5000

No. 4
Diffraction record for V8Ga2Co. The X-ray powder pattern is simulated, not measured: it uses a GGA-PBE-relaxed structure and λ = 1.5418 Å (Cu Kα).

Most intense lines, 2θ = 15–90°, by intensity:
(hkl)  2θ (°)  Rel. int.
4 2 -1  45.01  100
3 1 1  41.78  99
0 4 0  44.90  50
3 3 1  53.14  45
0 2 0  22.01  42
2 2 1  39.09  22

Cell and atoms:
Unit cell a=9.6435 b=8.0758 c=4.4910 alpha=90.00 beta=105.74 gamma=90.00
Space group C2/m (No. 12)
One atom of each set of equivalent atoms:
V 0.0746 0.0000 0.2942
V 0.0962 0.2434 0.8579
V 0.2198 0.0000 0.8994
Ga 0.1415 0.5000 0.5138
Co 0.0000 0.5000 0.0000

No. 5
Diffraction record for YZnAu2. The X-ray powder pattern is simulated, not measured: it uses a GGA-PBE-relaxed structure and λ = 1.5418 Å (Cu Kα).

Most intense lines, 2θ = 15–90°, by intensity:
(hkl)  2θ (°)  Rel. int.
1 3 1  41.53  100
2 2 0  33.68  94
3 0 1  38.92  87
1 0 2  34.02  86
1 2 2  42.02  82
2 2 1  37.39  56

Cell and atoms:
Unit cell a=7.6187 b=7.4395 c=5.6170 alpha=90.00 beta=90.00 gamma=90.00
Space group Pnma (No. 62)
One atom of each set of equivalent atoms:
Y 0.0393 0.2500 0.1420
Zn 0.1108 0.7500 0.3658
Au 0.1892 0.0534 0.5892

No. 6
Diffraction record for Ca5RuO8. The X-ray powder pattern is simulated, not measured: it uses a GGA-PBE-relaxed structure and λ = 1.5418 Å (Cu Kα).

Most intense lines, 2θ = 15–90°, by intensity:
(hkl)  2θ (°)  Rel. int.
2 1 1  31.03  100
1 0 3  38.85  74
3 0 1  40.54  62
1 1 2  30.23  61
1 0 1  17.47  48
3 1 2  47.93  43

Cell and atoms:
Unit cell a=7.0020 b=7.0020 c=7.3705 alpha=90.00 beta=90.00 gamma=90.00
Space group I-4 (No. 82)
One atom of each set of equivalent atoms:
Ca 0.0000 0.0000 0.0000
Ca 0.1316 0.7298 0.6148
Ru 0.0000 0.5000 0.2500
O 0.0441 0.7678 0.2973
O 0.0862 0.6876 0.9302

No. 7
Diffraction record for Ti3Zn2In2. The X-ray powder pattern is simulated, not measured: it uses a GGA-PBE-relaxed structure and λ = 1.5418 Å (Cu Kα).

Most intense lines, 2θ = 15–90°, by intensity:
(hkl)  2θ (°)  Rel. int.
1 1 1  37.14  100
1 7 0  38.84  91
0 6 1  41.29  56
2 0 0  42.41  40
2 6 1  60.68  34
1 1 0  21.35  31

Cell and atoms:
Unit cell a=4.2626 b=19.3444 c=2.9752 alpha=90.00 beta=90.00 gamma=90.00
Space group Cmmm (No. 65)
One atom of each set of equivalent atoms:
Ti 0.0000 0.0000 0.0000
Ti 0.0000 0.1575 0.0000
Zn 0.0000 0.2816 0.5000
In 0.0000 0.4215 0.5000

No. 8
Diffraction record for P4C5. The X-ray powder pattern is simulated, not measured: it uses a GGA-PBE-relaxed structure and λ = 1.5418 Å (Cu Kα).

Most intense lines, 2θ = 15–90°, by intensity:
(hkl)  2θ (°)  Rel. int.
2 2 0  16.27  100
4 2 0  25.86  81
1 0 1  35.04  62
2 1 1  36.98  36
6 4 0  42.30  30
5 3 0  33.93  30

Cell and atoms:
Unit cell a=15.4064 b=15.4064 c=2.5971 alpha=90.00 beta=90.00 gamma=90.00
Space group I4/mmm (No. 139)
One atom of each set of equivalent atoms:
P 0.0000 0.1158 0.0000
C 0.0000 0.0000 0.0000
C 0.2500 0.2500 0.0000

No. 9
Diffraction record for Er3Sc2Ru4. The X-ray powder pattern is simulated, not measured: it uses a GGA-PBE-relaxed structure and λ = 1.5418 Å (Cu Kα).

Most intense lines, 2θ = 15–90°, by intensity:
(hkl)  2θ (°)  Rel. int.
1 1 0  38.00  100
1 0 3  37.42  87
0 2 3  54.39  29
2 1 3  68.27  29
1 0 1  23.89  29
3 0 0  68.65  17

Cell and atoms:
Unit cell a=4.7358 b=4.7358 c=8.8992 alpha=90.00 beta=90.00 gamma=120.00
Space group P-3m1 (No. 164)
One atom of each set of equivalent atoms:
Er 0.0000 0.0000 0.0000
Er 0.3333 0.6667 0.5910
Sc 0.3333 0.6667 0.2020
Ru 0.0000 0.0000 0.3510
Ru 0.3333 0.6667 0.8954

No. 10
Diffraction record for CsRbPaO4. The X-ray powder pattern is simulated, not measured: it uses a GGA-PBE-relaxed structure and λ = 1.5418 Å (Cu Kα).

Most intense lines, 2θ = 15–90°, by intensity:
(hkl)  2θ (°)  Rel. int.
1 0 3  26.90  100
1 1 0  28.13  53
2 1 3  49.04  40
2 0 0  40.20  27
2 0 6  55.44  23
1 1 6  46.75  22

Cell and atoms:
Unit cell a=4.4864 b=4.4864 c=14.7475 alpha=90.00 beta=90.00 gamma=90.00
Space group I4mm (No. 107)
One atom of each set of equivalent atoms:
Cs 0.0000 0.0000 0.0000
Rb 0.0000 0.0000 0.6940
Pa 0.0000 0.0000 0.3410
O 0.0000 0.0000 0.2042
O 0.0000 0.0000 0.4780
O 0.0000 0.5000 0.3395

No. 11
Diffraction record for K2SbBr3O. The X-ray powder pattern is simulated, not measured: it uses a GGA-PBE-relaxed structure and λ = 1.5418 Å (Cu Kα).

Most intense lines, 2θ = 15–90°, by intensity:
(hkl)  2θ (°)  Rel. int.
1 0 1  21.63  100
1 1 0  26.10  98
0 2 0  30.81  96
0 0 6  30.07  93
0 2 6  43.59  64
1 0 5  32.87  59

Cell and atoms:
Unit cell a=4.2229 b=5.8044 c=17.8327 alpha=90.00 beta=90.00 gamma=90.00
Space group Immm (No. 71)
One atom of each set of equivalent atoms:
K 0.0000 0.0000 0.1464
Sb 0.0000 0.0000 0.5000
Br 0.0000 0.0000 0.3320
Br 0.0000 0.5000 0.5000
O 0.0000 0.5000 0.0000

No. 12
Diffraction record for Tm3Ga6Au5. The X-ray powder pattern is simulated, not measured: it uses a GGA-PBE-relaxed structure and λ = 1.5418 Å (Cu Kα).

Most intense lines, 2θ = 15–90°, by intensity:
(hkl)  2θ (°)  Rel. int.
1 3 2  34.83  100
2 0 0  41.79  42
0 4 2  33.55  29
1 0 3  34.50  27
1 1 4  43.16  27
1 7 4  67.70  23

Cell and atoms:
Unit cell a=4.3233 b=12.7685 c=9.7598 alpha=90.00 beta=90.00 gamma=90.00
Space group Pmmn (No. 59, origin choice 2)
One atom of each set of equivalent atoms:
Tm 0.2500 0.0496 0.2473
Tm 0.2500 0.7500 0.2464
Ga 0.2500 0.0831 0.8862
Ga 0.2500 0.2500 0.0601
Ga 0.2500 0.2500 0.4380
Ga 0.2500 0.5982 0.5282
Au 0.2500 0.1013 0.6255
Au 0.2500 0.6149 0.9738
Au 0.2500 0.7500 0.7305

No. 13
Diffraction record for K3Th3RhS8. The X-ray powder pattern is simulated, not measured: it uses a GGA-PBE-relaxed structure and λ = 1.5418 Å (Cu Kα).

Most intense lines, 2θ = 15–90°, by intensity:
(hkl)  2θ (°)  Rel. int.
0 2 4  29.89  100
0 2 1  25.54  43
2 0 2  26.46  41
2 0 8  41.08  37
2 2 0  44.44  34
0 2 7  37.89  28

Cell and atoms:
Unit cell a=8.1540 b=8.1540 c=22.4575 alpha=90.00 beta=90.00 gamma=120.00
Space group R-3m (No. 166, hexagonal axes)
One atom of each set of equivalent atoms:
K 0.0000 0.5000 0.0000
Th 0.0000 0.5000 0.5000
Rh 0.0000 0.0000 0.5000
S 0.0000 0.0000 0.2376
S 0.0027 0.5014 0.2314